No. 1
# MgBi4O8
Simulated XRD peak list, a wavelength of 1.5418 Å. Input: the PBE geometry in the Materials Project.
Peak positions follow from Bragg's law for the DFT cell and can differ from measured ones.

Most intense lines, 15° ≤ 2θ ≤ 90°, low angle first:
- 19.03°, 4.663 Å, I = 50
- 21.99°, 4.041 Å, I = 87
- 25.85°, 3.447 Å, I = 100
- 27.66°, 3.225 Å, I = 76
- 27.91°, 3.196 Å, I = 71
- 28.82°, 3.098 Å, I = 55
- 31.26°, 2.861 Å, I = 40
- 32.81°, 2.729 Å, I = 48
- 39.25°, 2.296 Å, I = 35
- 49.92°, 1.827 Å, I = 31

Structural model:
```
data_MgBi4O8
_chemical_formula_sum 'Mg1 Bi4 O8'
_symmetry_space_group_name_H-M 'P 1'
_symmetry_Int_Tables_number 1
_cell_length_a 5.626
_cell_length_b 6.381
_cell_length_c 6.385
_cell_angle_alpha 82.61
_cell_angle_beta 77.34
_cell_angle_gamma 82.50
loop_
_symmetry_equiv_pos_as_xyz
'x,y,z'
loop_
_atom_site_label
_atom_site_type_symbol
_atom_site_fract_x
_atom_site_fract_y
_atom_site_fract_z
Mg1 Mg 0.000 0.000 0.000
Bi1 Bi 0.148 0.030 0.442
Bi2 Bi 0.156 0.474 0.834
Bi3 Bi 0.612 0.800 0.845
Bi4 Bi 0.632 0.469 0.331
O1 O 0.320 0.282 0.521
O2 O 0.348 0.014 0.008
O3 O 0.355 0.742 0.653
O4 O 0.453 0.535 0.050
O5 O 0.858 0.063 0.734
O6 O 0.876 0.717 0.061
O7 O 0.877 0.619 0.633
O8 O 0.892 0.204 0.220
```

***

No. 2
# BaEr2F8
Simulated XRD peak list, a wavelength of 1.5418 Å. Input: the PBE geometry in the Materials Project.
Peak positions follow from Bragg's law for the DFT cell and can differ from measured ones.

Most intense lines, 15° ≤ 2θ ≤ 90°, low angle first:
- 20.96°, 4.238 Å, I = 34
- 24.34°, 3.657 Å, I = 61
- 25.78°, 3.456 Å, I = 81
- 26.99°, 3.304 Å, I = 66
- 27.70°, 3.221 Å, I = 40
- 28.48°, 3.135 Å, I = 100
- 42.45°, 2.129 Å, I = 27
- 42.67°, 2.119 Å, I = 27
- 47.15°, 1.927 Å, I = 45
- 53.95°, 1.700 Å, I = 28

Structural model:
```
data_BaEr2F8
_chemical_formula_sum 'Ba1 Er2 F8'
_symmetry_space_group_name_H-M 'P 1'
_symmetry_Int_Tables_number 1
_cell_length_a 6.331
_cell_length_b 6.331
_cell_length_c 4.292
_cell_angle_alpha 95.03
_cell_angle_beta 95.03
_cell_angle_gamma 112.86
loop_
_symmetry_equiv_pos_as_xyz
'x,y,z'
loop_
_atom_site_label
_atom_site_type_symbol
_atom_site_fract_x
_atom_site_fract_y
_atom_site_fract_z
Ba1 Ba 0.000 0.000 0.000
Er1 Er 0.324 0.676 0.500
Er2 Er 0.676 0.324 0.500
F1 F 0.046 0.329 0.562
F2 F 0.262 0.738 0.000
F3 F 0.329 0.046 0.562
F4 F 0.394 0.394 0.228
F5 F 0.606 0.606 0.772
F6 F 0.671 0.954 0.438
F7 F 0.738 0.262 0.000
F8 F 0.954 0.671 0.438
```

***

No. 3
# TmNbRu2
Simulated XRD peak list, a wavelength of 1.5418 Å. Input: the PBE geometry in the Materials Project.
Peak positions follow from Bragg's law for the DFT cell and can differ from measured ones.

Most intense lines, 15° ≤ 2θ ≤ 90°, low angle first:
- 23.64°, 3.764 Å, I = 6
- 27.36°, 3.259 Å, I = 2
- 39.08°, 2.305 Å, I = 100
- 46.19°, 1.966 Å, I = 3
- 56.46°, 1.630 Å, I = 17
- 62.06°, 1.496 Å, I = 1
- 70.81°, 1.331 Å, I = 34
- 75.83°, 1.255 Å, I = 1
- 83.98°, 1.152 Å, I = 11
- 88.79°, 1.102 Å, I = 1

Structural model:
```
data_TmNbRu2
_chemical_formula_sum 'Tm4 Nb4 Ru8'
_symmetry_space_group_name_H-M 'P 1'
_symmetry_Int_Tables_number 1
_cell_length_a 6.519
_cell_length_b 6.519
_cell_length_c 6.519
_cell_angle_alpha 90.00
_cell_angle_beta 90.00
_cell_angle_gamma 90.00
loop_
_symmetry_equiv_pos_as_xyz
'x,y,z'
loop_
_atom_site_label
_atom_site_type_symbol
_atom_site_fract_x
_atom_site_fract_y
_atom_site_fract_z
Tm1 Tm 0.000 0.000 0.000
Tm2 Tm 0.000 0.500 0.500
Tm3 Tm 0.500 0.000 0.500
Tm4 Tm 0.500 0.500 0.000
Nb1 Nb 0.000 0.000 0.500
Nb2 Nb 0.000 0.500 0.000
Nb3 Nb 0.500 0.000 0.000
Nb4 Nb 0.500 0.500 0.500
Ru1 Ru 0.250 0.250 0.250
Ru2 Ru 0.250 0.250 0.750
Ru3 Ru 0.250 0.750 0.250
Ru4 Ru 0.250 0.750 0.750
Ru5 Ru 0.750 0.250 0.250
Ru6 Ru 0.750 0.250 0.750
Ru7 Ru 0.750 0.750 0.250
Ru8 Ru 0.750 0.750 0.750
```

***

No. 4
# LaSiAs3
Simulated XRD peak list, a wavelength of 1.5418 Å. Input: the PBE geometry in the Materials Project.
Peak positions follow from Bragg's law for the DFT cell and can differ from measured ones.

Most intense lines, 15° ≤ 2θ ≤ 90°, low angle first:
- 29.12°, 3.066 Å, I = 56
- 29.72°, 3.006 Å, I = 60
- 32.13°, 2.786 Å, I = 66
- 32.67°, 2.741 Å, I = 64
- 33.59°, 2.668 Å, I = 67
- 34.04°, 2.634 Å, I = 100
- 35.57°, 2.524 Å, I = 54
- 36.06°, 2.491 Å, I = 57
- 42.09°, 2.147 Å, I = 95
- 54.88°, 1.673 Å, I = 66

Structural model:
```
data_LaSiAs3
_chemical_formula_sum 'La8 Si8 As24'
_symmetry_space_group_name_H-M 'P 1'
_symmetry_Int_Tables_number 1
_cell_length_a 6.132
_cell_length_b 26.680
_cell_length_c 6.013
_cell_angle_alpha 90.00
_cell_angle_beta 90.00
_cell_angle_gamma 90.00
loop_
_symmetry_equiv_pos_as_xyz
'x,y,z'
loop_
_atom_site_label
_atom_site_type_symbol
_atom_site_fract_x
_atom_site_fract_y
_atom_site_fract_z
La1 La 0.016 0.091 0.000
La2 La 0.017 0.403 0.500
La3 La 0.483 0.903 0.000
La4 La 0.484 0.591 0.500
La5 La 0.516 0.409 0.000
La6 La 0.517 0.097 0.500
La7 La 0.983 0.597 0.000
La8 La 0.984 0.909 0.500
Si1 Si 0.063 0.795 0.079
Si2 Si 0.113 0.292 0.078
Si3 Si 0.387 0.792 0.578
Si4 Si 0.437 0.295 0.579
Si5 Si 0.563 0.705 0.079
Si6 Si 0.613 0.208 0.078
Si7 Si 0.887 0.708 0.578
Si8 Si 0.937 0.205 0.579
As1 As 0.011 0.375 0.997
As2 As 0.016 0.790 0.473
As3 As 0.021 0.122 0.497
As4 As 0.067 0.286 0.472
As5 As 0.203 0.502 0.221
As6 As 0.205 0.502 0.794
As7 As 0.295 0.002 0.294
As8 As 0.297 0.002 0.721
As9 As 0.433 0.786 0.972
As10 As 0.479 0.622 0.997
As11 As 0.484 0.290 0.973
As12 As 0.489 0.875 0.497
As13 As 0.511 0.125 0.997
As14 As 0.516 0.710 0.473
As15 As 0.521 0.378 0.497
As16 As 0.567 0.214 0.472
As17 As 0.703 0.998 0.221
As18 As 0.705 0.998 0.794
As19 As 0.795 0.498 0.294
As20 As 0.797 0.498 0.721
As21 As 0.933 0.714 0.972
As22 As 0.979 0.878 0.997
As23 As 0.984 0.210 0.973
As24 As 0.989 0.625 0.497
```

***

No. 5
# DyAgSn
Simulated XRD peak list, a wavelength of 1.5418 Å. Input: the PBE geometry in the Materials Project.
Peak positions follow from Bragg's law for the DFT cell and can differ from measured ones.

Most intense lines, 15° ≤ 2θ ≤ 90°, low angle first:
- 24.37°, 3.652 Å, I = 11
- 32.10°, 2.788 Å, I = 100
- 37.21°, 2.416 Å, I = 81
- 42.20°, 2.142 Å, I = 21
- 49.95°, 1.826 Å, I = 29
- 62.85°, 1.479 Å, I = 11
- 63.90°, 1.457 Å, I = 28
- 67.10°, 1.395 Å, I = 16
- 79.31°, 1.208 Å, I = 12
- 88.13°, 1.108 Å, I = 14

Structural model:
```
data_DyAgSn
_chemical_formula_sum 'Dy2 Ag2 Sn2'
_symmetry_space_group_name_H-M 'P 1'
_symmetry_Int_Tables_number 1
_cell_length_a 4.832
_cell_length_b 4.832
_cell_length_c 7.478
_cell_angle_alpha 90.00
_cell_angle_beta 90.00
_cell_angle_gamma 120.00
loop_
_symmetry_equiv_pos_as_xyz
'x,y,z'
loop_
_atom_site_label
_atom_site_type_symbol
_atom_site_fract_x
_atom_site_fract_y
_atom_site_fract_z
Dy1 Dy 0.000 0.000 0.227
Dy2 Dy 0.000 0.000 0.773
Ag1 Ag 0.333 0.667 0.976
Ag2 Ag 0.667 0.333 0.024
Sn1 Sn 0.333 0.667 0.563
Sn2 Sn 0.667 0.333 0.437
```

***

No. 6
# AgN
Simulated XRD peak list, a wavelength of 1.5418 Å. Input: the PBE geometry in the Materials Project.
Peak positions follow from Bragg's law for the DFT cell and can differ from measured ones.

Most intense lines, 15° ≤ 2θ ≤ 90°, low angle first:
- 24.95°, 3.569 Å, I = 25
- 25.07°, 3.552 Å, I = 27
- 31.46°, 2.843 Å, I = 37
- 32.85°, 2.727 Å, I = 34
- 33.30°, 2.691 Å, I = 100
- 44.01°, 2.057 Å, I = 19
- 46.13°, 1.968 Å, I = 45
- 50.75°, 1.799 Å, I = 14
- 57.20°, 1.611 Å, I = 20
- 63.51°, 1.465 Å, I = 23

Structural model:
```
data_AgN
_chemical_formula_sum 'Ag8 N8'
_symmetry_space_group_name_H-M 'P 1'
_symmetry_Int_Tables_number 1
_cell_length_a 5.687
_cell_length_b 5.901
_cell_length_c 7.139
_cell_angle_alpha 90.00
_cell_angle_beta 90.00
_cell_angle_gamma 90.00
loop_
_symmetry_equiv_pos_as_xyz
'x,y,z'
loop_
_atom_site_label
_atom_site_type_symbol
_atom_site_fract_x
_atom_site_fract_y
_atom_site_fract_z
Ag1 Ag 0.000 0.163 0.158
Ag2 Ag 0.000 0.337 0.658
Ag3 Ag 0.000 0.663 0.342
Ag4 Ag 0.000 0.837 0.842
Ag5 Ag 0.500 0.163 0.342
Ag6 Ag 0.500 0.337 0.842
Ag7 Ag 0.500 0.663 0.158
Ag8 Ag 0.500 0.837 0.658
N1 N 0.250 0.089 0.750
N2 N 0.250 0.411 0.250
N3 N 0.250 0.589 0.750
N4 N 0.250 0.911 0.250
N5 N 0.750 0.089 0.750
N6 N 0.750 0.411 0.250
N7 N 0.750 0.589 0.750
N8 N 0.750 0.911 0.250
```

***

No. 7
# Zr2Ni12P7
Simulated XRD peak list, a wavelength of 1.5418 Å. Input: the PBE geometry in the Materials Project.
Peak positions follow from Bragg's law for the DFT cell and can differ from measured ones.

Most intense lines, 15° ≤ 2θ ≤ 90°, low angle first:
- 39.59°, 2.277 Å, I = 100
- 41.79°, 2.162 Å, I = 7
- 42.99°, 2.104 Å, I = 9
- 46.62°, 1.948 Å, I = 9
- 49.21°, 1.851 Å, I = 15
- 50.91°, 1.794 Å, I = 19
- 51.08°, 1.788 Å, I = 8
- 53.91°, 1.701 Å, I = 17
- 77.32°, 1.234 Å, I = 11
- 88.18°, 1.108 Å, I = 9

Structural model:
```
data_Zr2Ni12P7
_chemical_formula_sum 'Zr2 Ni12 P7'
_symmetry_space_group_name_H-M 'P 1'
_symmetry_Int_Tables_number 1
_cell_length_a 8.999
_cell_length_b 8.999
_cell_length_c 3.587
_cell_angle_alpha 90.00
_cell_angle_beta 90.00
_cell_angle_gamma 120.00
loop_
_symmetry_equiv_pos_as_xyz
'x,y,z'
loop_
_atom_site_label
_atom_site_type_symbol
_atom_site_fract_x
_atom_site_fract_y
_atom_site_fract_z
Zr1 Zr 0.000 0.000 0.000
Zr2 Zr 0.333 0.667 0.500
Ni1 Ni 0.055 0.286 0.500
Ni2 Ni 0.100 0.706 0.000
Ni3 Ni 0.232 0.945 0.500
Ni4 Ni 0.294 0.394 0.000
Ni5 Ni 0.390 0.176 0.000
Ni6 Ni 0.538 0.424 0.500
Ni7 Ni 0.576 0.114 0.500
Ni8 Ni 0.606 0.900 0.000
Ni9 Ni 0.714 0.768 0.500
Ni10 Ni 0.786 0.610 0.000
Ni11 Ni 0.824 0.214 0.000
Ni12 Ni 0.886 0.462 0.500
P1 P 0.080 0.453 0.000
P2 P 0.256 0.213 0.500
P3 P 0.373 0.920 0.000
P4 P 0.547 0.627 0.000
P5 P 0.667 0.333 0.000
P6 P 0.787 0.042 0.500
P7 P 0.958 0.744 0.500
```

***

No. 8
# LiAc2Pb
Simulated XRD peak list, a wavelength of 1.5418 Å. Input: the PBE geometry in the Materials Project.
Peak positions follow from Bragg's law for the DFT cell and can differ from measured ones.

Most intense lines, 15° ≤ 2θ ≤ 90°, low angle first:
- 18.66°, 4.756 Å, I = 20
- 21.58°, 4.119 Å, I = 15
- 30.70°, 2.912 Å, I = 100
- 36.17°, 2.484 Å, I = 12
- 43.97°, 2.059 Å, I = 19
- 49.49°, 1.842 Å, I = 7
- 54.58°, 1.681 Å, I = 41
- 63.93°, 1.456 Å, I = 13
- 72.58°, 1.302 Å, I = 18
- 88.91°, 1.101 Å, I = 22

Structural model:
```
data_LiAc2Pb
_chemical_formula_sum 'Li4 Ac8 Pb4'
_symmetry_space_group_name_H-M 'P 1'
_symmetry_Int_Tables_number 1
_cell_length_a 8.237
_cell_length_b 8.237
_cell_length_c 8.237
_cell_angle_alpha 90.00
_cell_angle_beta 90.00
_cell_angle_gamma 90.00
loop_
_symmetry_equiv_pos_as_xyz
'x,y,z'
loop_
_atom_site_label
_atom_site_type_symbol
_atom_site_fract_x
_atom_site_fract_y
_atom_site_fract_z
Li1 Li 0.000 0.000 0.000
Li2 Li 0.000 0.500 0.500
Li3 Li 0.500 0.000 0.500
Li4 Li 0.500 0.500 0.000
Ac1 Ac 0.250 0.250 0.250
Ac2 Ac 0.250 0.250 0.750
Ac3 Ac 0.250 0.750 0.250
Ac4 Ac 0.250 0.750 0.750
Ac5 Ac 0.750 0.250 0.250
Ac6 Ac 0.750 0.250 0.750
Ac7 Ac 0.750 0.750 0.250
Ac8 Ac 0.750 0.750 0.750
Pb1 Pb 0.000 0.000 0.500
Pb2 Pb 0.000 0.500 0.000
Pb3 Pb 0.500 0.000 0.000
Pb4 Pb 0.500 0.500 0.500
```

***

No. 9
# DyIn5Rh
Simulated XRD peak list, a wavelength of 1.5418 Å. Input: the PBE geometry in the Materials Project.
Peak positions follow from Bragg's law for the DFT cell and can differ from measured ones.

Most intense lines, 15° ≤ 2θ ≤ 90°, low angle first:
- 19.05°, 4.659 Å, I = 10
- 29.57°, 3.021 Å, I = 30
- 35.61°, 2.521 Å, I = 14
- 36.16°, 2.484 Å, I = 100
- 38.65°, 2.330 Å, I = 52
- 53.56°, 1.711 Å, I = 17
- 55.81°, 1.647 Å, I = 18
- 63.35°, 1.468 Å, I = 9
- 68.21°, 1.375 Å, I = 11
- 68.32°, 1.373 Å, I = 30

Structural model:
```
data_DyIn5Rh
_chemical_formula_sum 'Dy1 In5 Rh1'
_symmetry_space_group_name_H-M 'P 1'
_symmetry_Int_Tables_number 1
_cell_length_a 4.659
_cell_length_b 4.659
_cell_length_c 7.564
_cell_angle_alpha 90.00
_cell_angle_beta 90.00
_cell_angle_gamma 90.00
loop_
_symmetry_equiv_pos_as_xyz
'x,y,z'
loop_
_atom_site_label
_atom_site_type_symbol
_atom_site_fract_x
_atom_site_fract_y
_atom_site_fract_z
Dy1 Dy 0.000 0.000 0.000
In1 In 0.000 0.500 0.301
In2 In 0.000 0.500 0.699
In3 In 0.500 0.000 0.301
In4 In 0.500 0.000 0.699
In5 In 0.500 0.500 0.000
Rh1 Rh 0.000 0.000 0.500
```